Starting from a structure optimized by DFT (PBE+U), the powder X-ray diffraction pattern of CsLiWO4 was simulated for Cu Kα (weighted mean of Kα1 and Kα2).
Lines closer than 0.1° are merged.

Crystal structure
Cell lengths 5.997, 5.997, 8.817 Å; angles 90.00, 90.00, 90.00 degrees
Space group I-4 (No. 82)
Symmetry-distinct sites (fractional):
1 Cs 0.000 0.000 0.000 x2
2 Li 0.000 0.500 0.250 x2
3 W 0.000 0.000 0.500 x2
4 O 0.039 0.245 0.382 x8

Most intense lines, 10 to 90 degrees two-theta, low angle first:
d [Å]	I/Imax
4.959	20.5
4.408	56.4
4.241	100.0
3.056	93.2
2.999	43.0
2.479	50.9
1.956	24.1
1.911	22.0
1.896	22.0
1.742	36.2